This entry pairs a crystal structure of Li3PbAu4 with its computed X-ray diffraction stick pattern. Radiation: CuKα. Structure: a DFT-relaxed cell (GGA-PBE, Alexandria).
Kinematic intensities with the Lorentz-polarization factor, no thermal factor.

Crystal structure
Cell: 8.604 8.604 8.604 Å, 30.20 30.20 30.20°
Sites, in units of the cell vectors:
Li 0.000 0.000 0.000
Li 0.257 0.257 0.257
Li 0.743 0.743 0.743
Pb 0.500 0.500 0.500
Au 0.105 0.105 0.105
Au 0.367 0.367 0.367
Au 0.633 0.633 0.633
Au 0.895 0.895 0.895

Largest 10 diffraction maxima, sorted by position, 2θ from 10° to 80°:
2theta, I/Imax
24.03, 24.1
27.15, 72.7
29.29, 33.6
34.41, 50.5
37.29, 77.9
40.23, 100.0
53.92, 21.6
56.01, 35.4
71.19, 57.0
73.11, 17.8